Entry 1:
Simulated PXRD pattern of Li2PS3I for copper Kα, from a crystal structure in Alexandria, relaxed with PBE.

Structural model:
Lattice parameters (Å, degrees): 8.349 8.349 8.349 54.56 54.56 54.56
Fractional coordinates of all 14 atoms:
Li 0.000 0.000 0.000
Li 0.000 0.000 0.500
Li 0.000 0.500 0.000
Li 0.500 0.000 0.000
P 0.409 0.409 0.409
P 0.591 0.591 0.591
S 0.266 0.266 0.712
S 0.266 0.712 0.266
S 0.288 0.734 0.734
S 0.712 0.266 0.266
S 0.734 0.288 0.734
S 0.734 0.734 0.288
I 0.233 0.233 0.233
I 0.767 0.767 0.767

The 10 most intense peaks (10° ≤ 2θ ≤ 90°), sorted by position:
d_spacing, 2θ/deg, I_rel
5.624, 15.8, 55
3.827, 23.2, 68
3.578, 24.9, 51
3.542, 25.1, 58
3.164, 28.2, 100
2.812, 31.8, 75
2.599, 34.5, 30
2.073, 43.7, 24
1.913, 47.5, 37
1.683, 54.5, 31

Entry 2:
Simulated PXRD pattern of Nb2ReMo6W for copper Kα, from a crystal structure in Alexandria, relaxed with PBE.

Structural model:
Lattice parameters (Å, degrees): 5.564 5.564 5.564 87.56 87.56 87.56
Fractional coordinates of all 10 atoms:
Nb 0.249 0.249 0.249
Nb 0.751 0.751 0.751
Re 0.000 0.000 0.000
Mo 0.000 0.331 0.669
Mo 0.166 0.834 0.500
Mo 0.331 0.669 0.000
Mo 0.500 0.166 0.834
Mo 0.669 0.000 0.331
Mo 0.834 0.500 0.166
W 0.500 0.500 0.500

The 10 most intense peaks (10° ≤ 2θ ≤ 90°), sorted by position:
d_spacing, 2θ/deg, I_rel
3.850, 23.1, 23
2.526, 35.5, 58
2.349, 38.3, 28
2.223, 40.6, 100
2.005, 45.2, 17
1.778, 51.4, 24
1.669, 55.0, 16
1.337, 70.4, 17
1.334, 70.6, 15
1.283, 73.8, 17

Entry 3:
Simulated PXRD pattern of LaTb4NdSm2 for copper Kα, from a crystal structure in Alexandria, relaxed with PBE.

Structural model:
Lattice parameters (Å, degrees): 7.256 7.264 10.167 90.03 90.05 90.05
Fractional coordinates of all 16 atoms:
La 0.000 0.000 0.000
La 0.500 0.000 0.000
Tb 0.249 0.252 0.252
Tb 0.249 0.252 0.748
Tb 0.249 0.748 0.252
Tb 0.249 0.748 0.748
Tb 0.751 0.252 0.252
Tb 0.751 0.252 0.748
Tb 0.751 0.748 0.252
Tb 0.751 0.748 0.748
Nd 0.500 0.000 0.500
Nd 0.500 0.500 0.000
Sm 0.000 0.000 0.500
Sm 0.000 0.500 0.000
Sm 0.000 0.500 0.500
Sm 0.500 0.500 0.500

The 10 most intense peaks (10° ≤ 2θ ≤ 90°), sorted by position:
d_spacing, 2θ/deg, I_rel
2.954, 30.3, 100
2.567, 35.0, 34
2.542, 35.3, 17
1.815, 50.3, 12
1.806, 50.5, 24
1.546, 59.8, 29
1.535, 60.3, 14
1.477, 62.9, 12
1.172, 82.2, 10
1.139, 85.2, 5